Starting from a structure optimized by DFT (GGA-PBE), the powder diffraction line list of Ac2TePRh6 was simulated for copper Kα.

Structure:
```
Ac2TePRh6
1.0
5.884 0.000 0.000
0.000 8.886 0.000
0.000 0.000 7.826
Ac Te P Rh
4 2 2 12
Direct
0.250 0.013 0.225
0.250 0.487 0.225
0.750 0.513 0.775
0.750 0.987 0.775
0.250 0.750 0.781
0.750 0.250 0.219
0.250 0.250 0.727
0.750 0.750 0.273
0.003 0.750 0.055
0.014 0.750 0.484
0.250 0.003 0.614
0.250 0.497 0.614
0.486 0.750 0.484
0.497 0.750 0.055
0.503 0.250 0.945
0.514 0.250 0.516
0.750 0.503 0.386
0.750 0.997 0.386
0.986 0.250 0.516
0.997 0.250 0.945
```

Top 10 peaks for 5 to 70 degrees two-theta, in order of rising 2θ:
d_spacing	I_rel
3.258	244
3.230	965
2.937	880
2.628	564
2.453	1000
2.351	866
2.222	655
2.101	765
1.615	515
1.478	325

Starting from a structure optimized by DFT (GGA-PBE), the powder diffraction line list of Ac3TeP2Rh9 was simulated for copper Kα.

Structure:
```
Ac3TeP2Rh9
1.0
6.199 0.000 0.000
-3.100 5.369 0.000
0.000 0.000 9.225
Ac Te P Rh
3 1 2 9
Direct
0.000 0.000 0.000
0.333 0.667 0.670
0.667 0.333 0.330
0.000 0.000 0.500
0.333 0.667 0.156
0.667 0.333 0.844
0.000 0.500 0.000
0.156 0.313 0.281
0.156 0.844 0.281
0.313 0.156 0.719
0.500 0.000 0.000
0.500 0.500 0.000
0.687 0.844 0.281
0.844 0.156 0.719
0.844 0.687 0.719
```

Top 10 peaks for 5 to 70 degrees two-theta, in order of rising 2θ:
d_spacing	I_rel
3.499	295
3.100	211
3.075	315
2.577	918
2.320	1000
2.119	149
1.857	146
1.749	251
1.550	295
1.384	167

Starting from a structure optimized by DFT (GGA-PBE), the powder diffraction line list of Ac2P4Ru5 was simulated for copper Kα.

Structure:
```
Ac2P4Ru5
1.0
0.000 5.156 6.652
2.874 0.000 6.652
2.874 5.156 0.000
Ac P Ru
2 4 5
Direct
0.135 0.135 0.865
0.865 0.865 0.135
0.211 0.532 0.468
0.468 0.789 0.211
0.532 0.211 0.789
0.789 0.468 0.532
0.000 0.000 0.500
0.250 0.250 0.250
0.500 0.500 0.000
0.500 0.500 0.500
0.750 0.750 0.750
```

Top 10 peaks for 5 to 70 degrees two-theta, in order of rising 2θ:
d_spacing	I_rel
3.324	892
2.879	322
2.795	768
2.578	511
2.510	1000
2.456	718
2.175	594
1.663	541
1.475	269
1.386	278

Starting from a structure optimized by DFT (GGA-PBE), the powder diffraction line list of AcTcP2Ru was simulated for copper Kα.

Structure:
```
AcTcP2Ru
1.0
4.143 0.000 0.000
0.000 4.143 0.000
0.000 0.000 11.063
Ac Tc P Ru
2 2 4 2
Direct
0.000 0.000 0.000
0.500 0.500 0.500
0.000 0.500 0.750
0.500 0.000 0.250
0.000 0.000 0.350
0.000 0.000 0.650
0.500 0.500 0.150
0.500 0.500 0.850
0.000 0.500 0.250
0.500 0.000 0.750
```

Top 10 peaks for 5 to 70 degrees two-theta, in order of rising 2θ:
d_spacing	I_rel
3.880	562
2.766	255
2.755	560
2.589	1000
2.072	373
1.952	132
1.827	154
1.657	472
1.560	288
1.465	122

Starting from a structure optimized by DFT (GGA-PBE), the powder diffraction line list of Ac3PS was simulated for copper Kα.

Structure:
```
Ac3PS
1.0
7.173 0.000 0.000
-3.587 6.212 0.000
0.000 0.000 3.995
Ac P S
3 1 1
Direct
0.018 0.681 0.000
0.319 0.337 0.000
0.663 0.982 0.000
0.333 0.667 0.500
0.000 0.000 0.500
```

Top 10 peaks for 5 to 70 degrees two-theta, in order of rising 2θ:
d_spacing	I_rel
3.995	342
3.587	875
2.669	1000
2.071	254
1.838	244
1.793	123
1.745	242
1.636	222
1.438	161
1.356	94

Starting from a structure optimized by DFT (GGA-PBE), the powder diffraction line list of Ac7P5S was simulated for copper Kα.

Structure:
```
Ac7P5S
1.0
7.290 -2.189 0.000
7.290 2.189 0.000
-0.024 0.000 25.999
Ac P S
14 10 2
Direct
0.000 0.000 0.000
0.000 0.000 0.147
0.096 0.096 0.719
0.097 0.097 0.428
0.267 0.267 0.219
0.267 0.267 0.928
0.363 0.363 0.647
0.364 0.364 0.500
0.543 0.543 0.288
0.543 0.543 0.859
0.638 0.638 0.573
0.725 0.725 0.073
0.820 0.820 0.359
0.820 0.820 0.788
0.182 0.182 0.323
0.182 0.182 0.823
0.456 0.456 0.399
0.456 0.456 0.748
0.633 0.633 0.177
0.633 0.633 0.970
0.730 0.730 0.677
0.731 0.731 0.470
0.907 0.907 0.248
0.907 0.907 0.899
0.383 0.383 0.073
0.980 0.980 0.574
```

Top 10 peaks for 5 to 70 degrees two-theta, in order of rising 2θ:
d_spacing	I_rel
3.775	351
3.609	412
3.524	623
3.309	1000
3.156	729
3.045	588
2.200	441
2.118	298
1.858	314
1.826	382

Starting from a structure optimized by DFT (GGA-PBE), the powder diffraction line list of AcP2S6 was simulated for copper Kα.

Structure:
```
AcP2S6
1.0
3.271 1.889 7.353
-3.271 1.889 7.353
0.000 -3.777 7.353
Ac P S
1 2 6
Direct
0.000 0.000 0.000
0.252 0.252 0.252
0.353 0.353 0.353
0.035 0.492 0.597
0.044 0.560 0.060
0.060 0.044 0.560
0.492 0.597 0.035
0.560 0.060 0.044
0.597 0.035 0.492
```

Top 10 peaks for 5 to 70 degrees two-theta, in order of rising 2θ:
d_spacing	I_rel
7.353	1000
5.488	913
5.040	327
3.952	404
3.481	287
2.989	575
2.744	438
2.520	348
2.479	281
2.444	302

Starting from a structure optimized by DFT (GGA-PBE), the powder diffraction line list of AcPS3 was simulated for copper Kα.

Structure:
```
AcPS3
1.0
7.755 0.000 0.000
0.000 6.383 0.000
0.000 0.000 9.749
Ac P S
4 4 12
Direct
0.114 0.045 0.000
0.386 0.545 0.500
0.614 0.455 0.000
0.886 0.955 0.500
0.066 0.535 0.216
0.434 0.035 0.716
0.566 0.965 0.216
0.934 0.465 0.716
0.004 0.588 0.005
0.172 0.824 0.291
0.201 0.850 0.699
0.299 0.350 0.199
0.328 0.324 0.791
0.496 0.088 0.505
0.504 0.912 0.005
0.672 0.676 0.291
0.701 0.650 0.699
0.799 0.150 0.199
0.828 0.176 0.791
0.996 0.412 0.505
```

Top 10 peaks for 5 to 70 degrees two-theta, in order of rising 2θ:
d_spacing	I_rel
4.929	509
4.875	543
4.398	1000
3.603	887
3.466	743
2.713	543
2.670	364
2.491	437
2.389	504
2.327	373

Copy entry 3 word for word.
Starting from a structure optimized by DFT (GGA-PBE), the powder diffraction line list of Ac2P4Ru5 was simulated for copper Kα.

Structure:
```
Ac2P4Ru5
1.0
0.000 5.156 6.652
2.874 0.000 6.652
2.874 5.156 0.000
Ac P Ru
2 4 5
Direct
0.135 0.135 0.865
0.865 0.865 0.135
0.211 0.532 0.468
0.468 0.789 0.211
0.532 0.211 0.789
0.789 0.468 0.532
0.000 0.000 0.500
0.250 0.250 0.250
0.500 0.500 0.000
0.500 0.500 0.500
0.750 0.750 0.750
```

Top 10 peaks for 5 to 70 degrees two-theta, in order of rising 2θ:
d_spacing	I_rel
3.324	892
2.879	322
2.795	768
2.578	511
2.510	1000
2.456	718
2.175	594
1.663	541
1.475	269
1.386	278